Entry 1:
Theoretical X-ray diffraction stick pattern
Compound: Sr3Dy2HfAs6
Radiation: Cu Kα, 1.54184 Å
Structure: the GGA-PBE geometry in Alexandria
Kinematic intensities with the Lorentz-polarization factor, no thermal factor.

Structural model:
Cell lengths 7.2330, 12.5323, 7.5331 Å; angles 90.00, 108.70, 90.00 degrees
Space group C2/m (No. 12)
Symmetry-distinct sites (fractional):
1 Sr 0.0000 0.0000 0.0000 (multiplicity 2)
2 Sr 0.0000 0.3296 0.0000 (multiplicity 4)
3 Dy 0.0000 0.1661 0.5000 (multiplicity 4)
4 Hf 0.0000 0.5000 0.5000 (multiplicity 2)
5 As 0.2314 0.3406 0.7164 (multiplicity 8)
6 As 0.2451 0.5000 0.2818 (multiplicity 4)

Peak list (12 most intense, 2θ = 5–70°, low angle first)
d_spacing	2θ/deg	I/Imax	(hkl)
7.136	12.40	185	0 0 1
3.567	24.96	81	0 0 2
3.427	26.00	88	2 0 0
2.997	29.81	1000	1 3 1
2.335	38.55	68	2 0 -3
2.151	42.00	359	2 0 2
2.088	43.33	364	0 6 0
2.004	45.24	47	3 3 -2
1.784	51.21	74	0 0 4
1.713	53.48	230	4 0 0
1.498	61.93	112	2 6 2
1.356	69.27	152	3 3 3

Entry 2:
Theoretical X-ray diffraction stick pattern
Compound: Ba3NdIrRuO9
Radiation: Cu Kα, 1.54184 Å
Structure: the GGA-PBE geometry in Alexandria
Kinematic intensities with the Lorentz-polarization factor, no thermal factor.

Structural model:
Cell lengths 6.0076, 6.0076, 14.9823 Å; angles 90.00, 90.00, 120.00 degrees
Space group P6_3mc (No. 186)
Symmetry-distinct sites (fractional):
1 Ba 0.0000 0.0000 0.0000 (multiplicity 2)
2 Ba 0.3333 0.6667 0.1517 (multiplicity 2)
3 Ba 0.3333 0.6667 0.8520 (multiplicity 2)
4 Nd 0.0000 0.0000 0.2505 (multiplicity 2)
5 Ir 0.3333 0.6667 0.4159 (multiplicity 2)
6 Ru 0.3333 0.6667 0.5840 (multiplicity 2)
7 O 0.0195 0.5097 0.4999 (multiplicity 6)
8 O 0.1782 0.3565 0.6568 (multiplicity 6)
9 O 0.1785 0.3569 0.3395 (multiplicity 6)

Peak list (12 most intense, 2θ = 5–70°, low angle first)
d_spacing	2θ/deg	I/Imax	(hkl)
4.915	18.05	147	1 0 1
3.603	24.71	193	1 0 3
3.040	29.38	646	1 0 4
3.004	29.74	1000	1 1 0
2.307	39.04	143	2 0 3
2.137	42.30	360	2 0 4
1.979	45.84	162	1 0 7
1.741	52.56	242	2 1 4
1.734	52.79	202	3 0 0
1.653	55.61	132	2 0 7
1.502	61.77	181	2 2 0
1.448	64.33	132	2 1 7

Entry 3:
Theoretical X-ray diffraction stick pattern
Compound: Er5Si3
Radiation: Cu Kα, 1.54184 Å
Structure: the GGA-PBE geometry in Alexandria
Kinematic intensities with the Lorentz-polarization factor, no thermal factor.

Structural model:
Cell lengths 8.3576, 8.3576, 6.2817 Å; angles 90.00, 90.00, 120.00 degrees
Space group P6_3/mcm (No. 193)
Symmetry-distinct sites (fractional):
1 Er 0.0000 0.2426 0.2500 (multiplicity 6)
2 Er 0.3333 0.6667 0.0000 (multiplicity 4)
3 Si 0.0000 0.3946 0.7500 (multiplicity 6)

Peak list (12 most intense, 2θ = 5–70°, low angle first)
d_spacing	2θ/deg	I/Imax	(hkl)
3.619	24.60	190	2 0 0
3.479	25.60	265	1 1 1
2.881	31.04	283	1 0 2
2.736	32.74	277	2 1 0
2.509	35.78	1000	1 1 2
2.413	37.27	202	3 0 0
1.740	52.61	155	2 2 2
1.691	54.23	85	3 1 2
1.662	55.26	187	2 1 3
1.605	57.40	90	3 2 1
1.579	58.43	119	4 1 0
1.568	58.90	172	4 0 2

Entry 4:
Theoretical X-ray diffraction stick pattern
Compound: Ir5RuRh4
Radiation: Cu Kα, 1.54184 Å
Structure: the GGA-PBE geometry in Alexandria
Kinematic intensities with the Lorentz-polarization factor, no thermal factor.

Structural model:
Cell lengths 2.7244, 2.7244, 19.2832 Å; angles 90.00, 90.00, 90.00 degrees
Space group P4/mmm (No. 123)
Symmetry-distinct sites (fractional):
1 Ir 0.0000 0.0000 0.0000 (multiplicity 1)
2 Ir 0.0000 0.0000 0.2003 (multiplicity 2)
3 Ir 0.0000 0.0000 0.4021 (multiplicity 2)
4 Ru 0.5000 0.5000 0.5000 (multiplicity 1)
5 Rh 0.5000 0.5000 0.1002 (multiplicity 2)
6 Rh 0.5000 0.5000 0.2996 (multiplicity 2)

Peak list (7 most intense, 2θ = 5–70°, low angle first)
d_spacing	2θ/deg	I/Imax	(hkl)
3.857	23.06	82	0 0 5
2.724	32.88	71	1 0 0
2.225	40.54	1000	1 0 5
1.927	47.16	487	1 1 0
1.723	53.14	39	1 1 5
1.574	58.65	29	1 0 10
1.363	68.91	313	2 0 0

Entry 5:
Theoretical X-ray diffraction stick pattern
Compound: RbNaScI6
Radiation: Cu Kα, 1.54184 Å
Structure: the GGA-PBE geometry in Alexandria
Kinematic intensities with the Lorentz-polarization factor, no thermal factor.

Structural model:
Cell lengths 7.8635, 13.6650, 8.2911 Å; angles 90.00, 90.05, 90.00 degrees
Space group C2 (No. 5)
Symmetry-distinct sites (fractional):
1 Rb 0.0000 0.0000 0.0000 (multiplicity 2)
2 Na 0.0000 0.3339 0.5000 (multiplicity 2)
3 Sc 0.0000 0.6666 0.5000 (multiplicity 2)
4 I 0.1440 0.5163 0.2962 (multiplicity 4)
5 I 0.1532 0.8140 0.2962 (multiplicity 4)
6 I 0.2009 0.1698 0.2970 (multiplicity 4)

Peak list (12 most intense, 2θ = 5–70°, low angle first)
d_spacing	2θ/deg	I/Imax	(hkl)
8.291	10.67	133	0 0 1
5.268	16.83	152	0 2 1
4.146	21.43	147	0 0 2
3.557	25.03	1000	2 0 -1
2.855	31.33	491	1 3 -2
2.764	32.39	82	0 0 3
2.463	36.48	108	1 5 -1
2.278	39.57	84	0 6 0
2.272	39.67	169	3 3 0
2.262	39.85	174	1 3 3
1.917	47.41	81	2 6 -1
1.834	49.71	134	2 0 -4

Entry 6:
Theoretical X-ray diffraction stick pattern
Compound: Er4Zr6Sc19
Radiation: Cu Kα, 1.54184 Å
Structure: the GGA-PBE geometry in Alexandria
Kinematic intensities with the Lorentz-polarization factor, no thermal factor.

Structural model:
Cell lengths 7.9443, 9.6484, 10.7764 Å; angles 107.06, 104.10, 102.32 degrees
Space group P1 (No. 1)
Symmetry-distinct sites (fractional):
1 Er 0.0000 0.0000 0.0000 (multiplicity 1)
2 Er 0.0479 0.4807 0.4614 (multiplicity 1)
3 Er 0.4250 0.6118 0.1118 (multiplicity 1)
4 Er 0.8107 0.2155 0.7322 (multiplicity 1)
5 Zr 0.0147 0.1650 0.5110 (multiplicity 1)
6 Zr 0.3851 0.0888 0.5790 (multiplicity 1)
7 Zr 0.4140 0.4221 0.6061 (multiplicity 1)
8 Zr 0.5868 0.0560 0.8930 (multiplicity 1)
9 Zr 0.7890 0.8628 0.7043 (multiplicity 1)
10 Zr 0.8137 0.1873 0.2030 (multiplicity 1)
11 Sc 0.0339 0.3529 0.0625 (multiplicity 1)
12 Sc 0.1830 0.4610 0.7876 (multiplicity 1)
13 Sc 0.1871 0.7987 0.8062 (multiplicity 1)
14 Sc 0.1892 0.1247 0.7940 (multiplicity 1)
15 Sc 0.2118 0.7912 0.3025 (multiplicity 1)
16 Sc 0.2225 0.1629 0.3135 (multiplicity 1)
17 Sc 0.3995 0.7744 0.6020 (multiplicity 1)
18 Sc 0.4335 0.9482 0.1262 (multiplicity 1)
19 Sc 0.4416 0.2614 0.1103 (multiplicity 1)
20 Sc 0.5745 0.5677 0.4142 (multiplicity 1)
21 Sc 0.5820 0.3883 0.8860 (multiplicity 1)
22 Sc 0.5900 0.7280 0.8854 (multiplicity 1)
23 Sc 0.6283 0.9147 0.4309 (multiplicity 1)
24 Sc 0.6356 0.2422 0.4225 (multiplicity 1)
25 Sc 0.8111 0.5380 0.2042 (multiplicity 1)
26 Sc 0.8119 0.5393 0.6843 (multiplicity 1)
27 Sc 0.8397 0.8778 0.2189 (multiplicity 1)
28 Sc 0.9870 0.6508 0.9934 (multiplicity 1)
29 Sc 0.9958 0.8324 0.5097 (multiplicity 1)

Peak list (12 most intense, 2θ = 5–70°, low angle first)
d_spacing	2θ/deg	I/Imax	(hkl)
5.585	15.87	184	0 1 1
5.427	16.33	188	1 1 -1
4.857	18.27	264	1 0 -2
2.701	33.17	329	2 -3 1
2.675	33.50	273	1 3 -1
2.576	34.83	649	1 0 -4
2.564	35.00	564	-2 3 1
2.554	35.13	1000	2 0 2
2.544	35.28	913	3 0 -2
2.468	36.41	176	1 3 0
1.861	48.95	190	0 3 3
1.608	57.30	167	1 -6 2

Entry 7:
Theoretical X-ray diffraction stick pattern
Compound: Ti2AlH4
Radiation: Cu Kα, 1.54184 Å
Structure: the GGA-PBE geometry in Alexandria
Kinematic intensities with the Lorentz-polarization factor, no thermal factor.

Structural model:
Cell lengths 5.1293, 5.1293, 9.5193 Å; angles 90.00, 90.00, 90.00 degrees
Space group I4_1/amd (No. 141, origin choice 2)
Symmetry-distinct sites (fractional):
1 Ti 0.0000 0.0000 0.0000 (multiplicity 8)
2 Al 0.0000 0.2500 0.3750 (multiplicity 4)
3 H 0.0000 0.0149 0.2038 (multiplicity 16)

Peak list (12 most intense, 2θ = 5–70°, low angle first)
d_spacing	2θ/deg	I/Imax	(hkl)
4.515	19.66	656	1 0 1
2.885	31.00	170	1 1 2
2.698	33.20	806	1 0 3
2.380	37.80	164	0 0 4
2.258	39.93	931	2 0 2
2.230	40.45	1000	2 1 1
1.813	50.31	137	2 2 0
1.785	51.18	246	1 0 5
1.505	61.62	124	3 0 3
1.442	64.62	370	2 2 4
1.407	66.45	200	3 2 1
1.349	69.69	168	2 0 6

Entry 8:
Theoretical X-ray diffraction stick pattern
Compound: Ag5PtCl12
Radiation: Cu Kα, 1.54184 Å
Structure: the GGA-PBE geometry in Alexandria
Kinematic intensities with the Lorentz-polarization factor, no thermal factor.

Structural model:
Cell lengths 6.6166, 6.6171, 12.5445 Å; angles 79.19, 88.92, 65.86 degrees
Space group P-1 (No. 2)
Symmetry-distinct sites (fractional):
1 Ag 0.0000 0.0000 0.0000 (multiplicity 1)
2 Ag 0.3336 0.3329 0.0010 (multiplicity 2)
3 Ag 0.3435 0.8450 0.4994 (multiplicity 2)
4 Pt 0.0000 0.5000 0.5000 (multiplicity 1)
5 Cl 0.0289 0.7378 0.6106 (multiplicity 2)
6 Cl 0.0399 0.3268 0.8824 (multiplicity 2)
7 Cl 0.2690 0.5591 0.3896 (multiplicity 2)
8 Cl 0.2857 0.1846 0.6071 (multiplicity 2)
9 Cl 0.2949 0.0048 0.1202 (multiplicity 2)
10 Cl 0.3724 0.6600 0.8804 (multiplicity 2)

Peak list (12 most intense, 2θ = 5–70°, low angle first)
d_spacing	2θ/deg	I/Imax	(hkl)
6.148	14.41	1000	0 0 2
3.565	24.98	223	-1 1 1
3.279	27.20	151	1 -1 1
3.106	28.74	112	1 2 2
2.920	30.61	158	-1 1 3
2.672	33.53	127	1 2 -2
2.616	34.28	127	2 1 3
2.518	35.66	153	2 1 -3
2.463	36.48	151	1 2 4
2.051	44.16	113	1 2 -4
2.009	45.13	248	3 0 0
1.892	48.09	119	1 2 6

Entry 9:
Theoretical X-ray diffraction stick pattern
Compound: Nd2Ge3Ir3
Radiation: Cu Kα, 1.54184 Å
Structure: the GGA-PBE geometry in Alexandria
Kinematic intensities with the Lorentz-polarization factor, no thermal factor.

Structural model:
Cell lengths 2.8893, 2.8893, 20.9112 Å; angles 90.00, 90.00, 90.00 degrees
Space group P4/mmm (No. 123)
Symmetry-distinct sites (fractional):
1 Nd 0.0000 0.0000 0.2412 (multiplicity 2)
2 Ge 0.0000 0.0000 0.0000 (multiplicity 1)
3 Ge 0.0000 0.0000 0.3858 (multiplicity 2)
4 Ir 0.0000 0.0000 0.1137 (multiplicity 2)
5 Ir 0.0000 0.0000 0.5000 (multiplicity 1)

Peak list (12 most intense, 2θ = 5–70°, low angle first)
d_spacing	2θ/deg	I/Imax	(hkl)
6.970	12.70	266	0 0 3
4.182	21.24	61	0 0 5
2.889	30.95	1000	1 0 0
2.669	33.58	110	1 0 3
2.614	34.31	308	0 0 8
2.377	37.85	59	1 0 5
2.043	44.34	375	1 1 0
1.961	46.31	46	1 1 3
1.938	46.87	516	1 0 8
1.694	54.14	46	1 0 10
1.610	57.23	287	1 1 8
1.445	64.50	123	2 0 0

Entry 10:
Theoretical X-ray diffraction stick pattern
Compound: RbLiHF
Radiation: Cu Kα, 1.54184 Å
Structure: the GGA-PBE geometry in Alexandria
Kinematic intensities with the Lorentz-polarization factor, no thermal factor.

Structural model:
Cell lengths 3.8447, 3.8447, 12.4863 Å; angles 90.00, 90.00, 120.00 degrees
Space group P6_3mc (No. 186)
Symmetry-distinct sites (fractional):
1 Rb 0.3333 0.6667 0.0000 (multiplicity 2)
2 Li 0.0000 0.0000 0.2432 (multiplicity 2)
3 H 0.3333 0.6667 0.6773 (multiplicity 2)
4 F 0.0000 0.0000 0.3861 (multiplicity 2)

Peak list (12 most intense, 2θ = 5–70°, low angle first)
d_spacing	2θ/deg	I/Imax	(hkl)
6.243	14.19	1000	0 0 2
3.217	27.73	952	1 0 1
3.122	28.60	137	0 0 4
2.938	30.43	330	1 0 2
2.600	34.50	557	1 0 3
2.277	39.57	211	1 0 4
1.998	45.40	239	1 0 5
1.922	47.29	238	1 1 0
1.837	49.62	240	1 1 2
1.650	55.70	131	2 0 1
1.637	56.20	129	1 1 4
1.572	58.72	112	1 0 7

Entry 11:
Theoretical X-ray diffraction stick pattern
Compound: NpCd3O6F2
Radiation: Cu Kα, 1.54184 Å
Structure: the GGA-PBE geometry in Alexandria
Kinematic intensities with the Lorentz-polarization factor, no thermal factor.

Structural model:
Cell lengths 11.6864, 6.5377, 4.7694 Å; angles 90.00, 90.73, 90.00 degrees
Space group C2/m (No. 12)
Symmetry-distinct sites (fractional):
1 Np 0.0000 0.0000 0.0000 (multiplicity 2)
2 Cd 0.0000 0.5000 0.5000 (multiplicity 2)
3 Cd 0.2500 0.2500 0.0000 (multiplicity 4)
4 O 0.0676 0.2249 0.7697 (multiplicity 8)
5 O 0.1549 0.0000 0.2142 (multiplicity 4)
6 F 0.1679 0.5000 0.2613 (multiplicity 4)

Peak list (12 most intense, 2θ = 5–70°, low angle first)
d_spacing	2θ/deg	I/Imax	(hkl)
4.769	18.61	923	0 0 1
3.670	24.25	950	1 1 -1
3.648	24.40	1000	1 1 1
2.921	30.60	583	4 0 0
2.853	31.36	999	2 2 0
2.753	32.52	405	3 1 -1
2.725	32.86	404	3 1 1
2.455	36.60	536	2 2 -1
1.954	46.47	344	1 3 -1
1.835	49.67	698	2 2 -2
1.824	50.01	416	2 2 2
1.673	54.87	375	6 2 0

Entry 12:
Theoretical X-ray diffraction stick pattern
Compound: Pm6P2Se3N
Radiation: Cu Kα, 1.54184 Å
Structure: the GGA-PBE geometry in Alexandria
Kinematic intensities with the Lorentz-polarization factor, no thermal factor.

Structural model:
Cell lengths 7.0072, 12.1045, 7.2204 Å; angles 90.00, 108.91, 90.00 degrees
Space group C2/m (No. 12)
Symmetry-distinct sites (fractional):
1 Pm 0.2285 0.1560 0.2175 (multiplicity 8)
2 Pm 0.2388 0.0000 0.7784 (multiplicity 4)
3 P 0.0000 0.3339 0.0000 (multiplicity 4)
4 Se 0.0000 0.1725 0.5000 (multiplicity 4)
5 Se 0.0000 0.5000 0.5000 (multiplicity 2)
6 N 0.0000 0.0000 0.0000 (multiplicity 2)

Peak list (12 most intense, 2θ = 5–70°, low angle first)
d_spacing	2θ/deg	I/Imax	(hkl)
3.449	25.83	56	1 3 0
3.415	26.09	95	0 0 2
3.311	26.93	314	1 3 -1
2.889	30.95	1000	2 0 -2
2.661	33.68	117	2 0 1
2.277	39.58	62	0 0 3
2.067	43.80	325	1 3 -3
2.020	44.87	353	3 3 -1
1.656	55.50	178	2 6 -2
1.512	61.32	62	3 3 -4
1.444	64.55	62	2 6 2
1.437	64.88	60	2 0 -5